No. 1
The following is a theoretical PXRD pattern of Zn3Ga2N4. It was derived from a PBE-relaxed structure, using CuKα.
No peak broadening, texture or thermal motion is included.

Atomic structure:
```
36
Lattice="5.351 0.000 0.000 0.000 10.839 0.000 0.000 0.000 8.024" Properties=species:S:1:pos:R:3 pbc="T T T"
Zn 1.212 1.586 0.999
Zn 1.212 3.834 3.013
Zn 1.338 0.000 3.570
Zn 1.338 5.420 0.442
Zn 1.464 7.005 3.013
Zn 1.464 9.253 0.999
Zn 3.887 1.586 7.025
Zn 3.887 3.834 5.011
Zn 4.013 0.000 4.454
Zn 4.013 5.420 7.582
Zn 4.139 7.005 5.011
Zn 4.139 9.253 7.025
Ga 1.189 8.129 6.018
Ga 1.338 0.000 6.407
Ga 1.338 5.420 5.629
Ga 1.487 2.710 6.018
Ga 3.864 8.129 2.006
Ga 4.013 0.000 1.617
Ga 4.013 5.420 2.395
Ga 4.162 2.710 2.006
N 0.021 6.548 6.646
N 0.021 9.711 5.390
N 0.477 1.555 7.185
N 0.477 3.864 4.851
N 2.198 6.975 4.851
N 2.198 9.284 7.185
N 2.654 1.128 5.390
N 2.654 4.291 6.646
N 2.697 6.548 1.378
N 2.697 9.711 2.634
N 3.152 1.555 0.839
N 3.152 3.864 3.173
N 4.873 6.975 3.173
N 4.873 9.284 0.839
N 5.329 1.128 2.634
N 5.329 4.291 1.378
```

Principal peaks in the range 10 to 90 degrees two-theta, in order of rising 2θ:
27.07°, I 66
33.50°, I 76
34.54°, I 29
37.48°, I 100
37.60°, I 81
38.91°, I 79
43.58°, I 26
48.88°, I 30
62.56°, I 43
63.48°, I 28


No. 2
The following is a theoretical PXRD pattern of Zn3Ga2N4. It was derived from a PBE-relaxed structure, using CuKα.
No peak broadening, texture or thermal motion is included.

Atomic structure:
```
18
Lattice="4.382 -4.700 0.000 4.382 4.700 0.000 -0.547 0.000 5.337" Properties=species:S:1:pos:R:3 pbc="T T T"
Zn 3.972 3.230 4.003
Zn 3.156 1.469 2.131
Zn 5.334 1.469 0.537
Zn 2.883 -1.469 4.800
Zn 5.061 -1.469 3.206
Zn 4.245 -3.230 1.334
Ga 1.419 1.045 4.633
Ga 1.692 -1.045 1.964
Ga 6.525 1.045 3.373
Ga 6.799 -1.045 0.704
N 1.398 0.763 2.653
N 3.495 2.008 0.068
N 1.124 -0.763 5.321
N 4.996 2.008 2.600
N 3.221 -2.008 2.737
N 7.093 0.763 0.016
N 4.723 -2.008 5.269
N 6.820 -0.763 2.685
```

Principal peaks in the range 10 to 90 degrees two-theta, in order of rising 2θ:
33.75°, I 100
34.95°, I 62
35.47°, I 48
38.30°, I 34
44.60°, I 16
45.03°, I 39
53.45°, I 17
60.21°, I 15
60.79°, I 15
67.49°, I 16


No. 3
The following is a theoretical PXRD pattern of NaGa4. It was derived from a PBE-relaxed structure, using CuKα.
No peak broadening, texture or thermal motion is included.

Atomic structure:
```
10
Lattice="4.277 0.000 0.000 0.000 4.277 0.000 0.000 0.000 11.312" Properties=species:S:1:pos:R:3 pbc="T T T"
Na 0.000 0.000 0.000
Na 2.139 2.139 5.656
Ga 0.000 0.000 4.405
Ga 0.000 0.000 6.906
Ga 0.000 2.139 2.828
Ga 0.000 2.139 8.484
Ga 2.139 0.000 2.828
Ga 2.139 0.000 8.484
Ga 2.139 2.139 1.251
Ga 2.139 2.139 10.061
```

Principal peaks in the range 10 to 90 degrees two-theta, in order of rising 2θ:
15.67°, I 38
22.22°, I 57
31.63°, I 29
33.60°, I 100
42.26°, I 68
43.83°, I 81
45.35°, I 39
63.71°, I 24
78.37°, I 28
81.62°, I 25


No. 4
The following is a theoretical PXRD pattern of NaGa. It was derived from a PBE-relaxed structure, using CuKα.
No peak broadening, texture or thermal motion is included.

Atomic structure:
```
8
Lattice="5.835 0.000 0.000 0.000 8.596 0.000 0.000 0.000 4.499" Properties=species:S:1:pos:R:3 pbc="T T T"
Na 0.000 1.501 1.125
Na 0.000 7.095 3.374
Na 2.917 2.797 3.374
Na 2.917 5.799 1.125
Ga 0.000 3.846 3.374
Ga 0.000 4.750 1.125
Ga 2.917 0.452 1.125
Ga 2.917 8.144 3.374
```

Principal peaks in the range 10 to 90 degrees two-theta, in order of rising 2θ:
18.38°, I 100
20.67°, I 21
28.73°, I 42
30.65°, I 41
34.89°, I 25
40.09°, I 19
40.40°, I 33
42.50°, I 29
44.43°, I 20
59.72°, I 19


No. 5
The following is a theoretical PXRD pattern of NaGa. It was derived from a PBE-relaxed structure, using CuKα.
No peak broadening, texture or thermal motion is included.

Atomic structure:
```
8
Lattice="6.057 0.000 0.000 0.000 6.794 0.000 0.000 0.000 4.898" Properties=species:S:1:pos:R:3 pbc="T T T"
Na 0.000 0.914 1.224
Na 0.000 5.879 3.673
Na 3.028 2.482 3.673
Na 3.028 4.311 1.224
Ga 0.000 2.809 3.673
Ga 0.000 3.985 1.224
Ga 3.028 0.588 1.224
Ga 3.028 6.206 3.673
```

Principal peaks in the range 10 to 90 degrees two-theta, in order of rising 2θ:
19.64°, I 91
29.50°, I 75
32.07°, I 100
36.70°, I 41
41.96°, I 26
44.13°, I 81
46.67°, I 31
47.76°, I 38
70.79°, I 18
71.25°, I 18